Record 1
Structure and theoretical X-ray diffraction stick pattern of Ce2Th3Sc (a structure optimized by DFT (PBE); a wavelength of 1.5418 Å).
Intensities are scaled so that the largest is 100.

Peak list (10 most intense, 10 to 90 degrees two-theta, most intense first)
- 32.5°, I = 100
- 31.7°, I = 56
- 28.4°, I = 53
- 36.4°, I = 39
- 36.8°, I = 37
- 56.9°, I = 21
- 42.6°, I = 18
- 43.5°, I = 17
- 55.9°, I = 15
- 65.1°, I = 14

Crystal structure
```
Ce2Th3Sc
1.0
3.311 -4.731 0.000
3.311 4.731 0.000
-0.324 0.000 11.387
Ce Th Sc
4 6 2
Cartesian
2.221 2.406 10.010
3.915 2.406 7.071
2.383 -2.406 4.317
4.077 -2.406 1.377
3.230 3.933 2.847
1.540 0.669 5.627
1.378 -0.669 11.320
4.920 0.669 0.067
4.759 -0.669 5.761
3.068 -3.933 8.540
3.230 0.462 2.847
3.068 -0.462 8.540
```

***

Record 2
Structure and theoretical X-ray diffraction stick pattern of CeTh12Sc6 (a structure optimized by DFT (PBE); a wavelength of 1.5418 Å).
Intensities are scaled so that the largest is 100.

Peak list (10 most intense, 10 to 90 degrees two-theta, most intense first)
- 32.1°, I = 100
- 29.6°, I = 55
- 38.5°, I = 39
- 27.0°, I = 35
- 51.0°, I = 33
- 54.1°, I = 32
- 34.3°, I = 30
- 24.1°, I = 25
- 36.5°, I = 23
- 12.0°, I = 22

Crystal structure
```
CeTh12Sc6
1.0
-5.223 5.223 5.223
5.223 -5.223 5.223
5.223 5.223 -5.223
Ce Th Sc
1 12 6
Cartesian
0.000 0.000 0.000
5.223 3.375 -2.430
2.792 0.000 1.847
7.653 0.000 1.847
1.847 2.792 0.000
3.375 -2.430 5.223
0.000 1.847 2.792
5.223 3.375 2.430
1.847 7.653 0.000
3.375 2.430 5.223
-2.430 5.223 3.375
2.430 5.223 3.375
0.000 1.847 7.653
5.223 1.545 0.000
5.223 0.000 3.678
3.678 5.223 0.000
1.545 0.000 5.223
0.000 5.223 1.545
0.000 3.678 5.223
```

***

Record 3
Structure and theoretical X-ray diffraction stick pattern of Ce3ThSc6 (a structure optimized by DFT (PBE); a wavelength of 1.5418 Å).
Intensities are scaled so that the largest is 100.

Peak list (10 most intense, 10 to 90 degrees two-theta, most intense first)
- 19.0°, I = 100
- 19.4°, I = 50
- 33.7°, I = 47
- 44.3°, I = 30
- 36.0°, I = 29
- 35.8°, I = 28
- 34.5°, I = 27
- 33.1°, I = 24
- 33.0°, I = 24
- 28.3°, I = 22

Crystal structure
```
Ce3ThSc6
1.0
6.343 0.000 0.000
-0.520 6.387 0.000
-0.474 -0.085 6.443
Ce Th Sc
3 1 6
Cartesian
0.000 0.000 0.000
0.397 1.397 2.254
3.232 4.747 5.615
2.703 2.327 4.051
-0.509 2.758 5.229
0.663 5.376 3.894
1.673 4.154 1.166
3.098 1.170 0.571
3.830 6.099 3.010
4.877 3.475 1.787
```

***

Record 4
Structure and theoretical X-ray diffraction stick pattern of CeTmThSc (a structure optimized by DFT (PBE); a wavelength of 1.5418 Å).
Intensities are scaled so that the largest is 100.

Peak list (10 most intense, 10 to 90 degrees two-theta, most intense first)
- 32.7°, I = 100
- 35.4°, I = 90
- 30.2°, I = 56
- 32.5°, I = 46
- 63.3°, I = 40
- 52.7°, I = 36
- 16.1°, I = 30
- 61.5°, I = 20
- 40.5°, I = 19
- 49.0°, I = 19

Crystal structure
```
CeTmThSc
1.0
1.736 1.002 11.029
-1.736 1.002 11.029
0.000 -2.005 11.029
Ce Tm Th Sc
1 1 1 1
Cartesian
0.000 0.000 0.000
0.000 0.000 19.195
0.000 0.000 13.810
0.000 0.000 27.542
```

***

Record 5
Structure and theoretical X-ray diffraction stick pattern of Ce3ScTl4 (a structure optimized by DFT (PBE); a wavelength of 1.5418 Å).
Intensities are scaled so that the largest is 100.

Peak list (10 most intense, 10 to 90 degrees two-theta, most intense first)
- 32.5°, I = 100
- 36.6°, I = 39
- 63.4°, I = 30
- 55.3°, I = 18
- 52.8°, I = 14
- 39.9°, I = 12
- 68.2°, I = 10
- 67.9°, I = 7
- 29.7°, I = 7
- 25.7°, I = 7

Crystal structure
```
Ce3ScTl4
1.0
3.469 0.000 0.000
0.000 3.469 0.000
0.000 0.000 18.065
Ce Sc Tl
3 1 4
Cartesian
0.000 0.000 0.000
0.000 0.000 4.711
0.000 0.000 13.354
0.000 0.000 9.033
1.734 1.734 2.356
1.734 1.734 7.032
1.734 1.734 11.033
1.734 1.734 15.709
```

***

Record 6
Structure and theoretical X-ray diffraction stick pattern of Ce2ScTl2 (a structure optimized by DFT (PBE); a wavelength of 1.5418 Å).
Intensities are scaled so that the largest is 100.

Peak list (10 most intense, 10 to 90 degrees two-theta, most intense first)
- 33.0°, I = 100
- 32.8°, I = 86
- 34.6°, I = 49
- 36.8°, I = 37
- 51.4°, I = 32
- 65.6°, I = 23
- 42.6°, I = 18
- 36.5°, I = 18
- 60.7°, I = 16
- 24.4°, I = 15

Crystal structure
```
Ce2ScTl2
1.0
3.335 0.000 0.000
0.000 2.441 8.238
0.000 -2.441 8.238
Ce Sc Tl
2 1 2
Cartesian
0.000 0.000 0.000
0.000 0.000 3.063
0.000 0.000 13.337
1.668 0.000 6.199
1.668 0.000 9.961
```